No. 1
NaLaTi8Cu6O24: calculated XRD peak list (Cu Ka), based on a structure optimized by DFT (GGA-PBE).
Intensities are scaled so that the largest is 1000.

Top 10 peaks for 10° ≤ 2θ ≤ 80°, in order of falling intensity:
2theta  d [Å]  I/Imax  (hkl)
33.87  2.646  1000  2 2 0
60.61  1.528  492  4 2 2
48.66  1.871  280  4 0 0
71.27  1.323  126  4 4 0
11.82  7.485  88  1 0 0
26.63  3.347  81  2 1 0
41.81  2.161  79  2 2 2
38.02  2.367  68  3 0 1
45.33  2.000  47  3 1 2
20.55  4.321  44  1 1 1

Structure:
a = 7.485 Å, b = 7.485 Å, c = 7.485 Å
α = 90.00°, β = 90.00°, γ = 90.00°
Space group Pm-3 (No. 200)
Asymmetric unit:
Na: 0.000 0.000 0.000
La: 0.500 0.500 0.500
Ti: 0.245 0.245 0.245
Cu: 0.000 0.000 0.500
Cu: 0.000 0.500 0.500
O: 0.000 0.307 0.178
O: 0.197 0.322 0.500

No. 2
NaLaCuTe4: calculated XRD peak list (Cu Ka), based on a structure optimized by DFT (GGA-PBE).
Intensities are scaled so that the largest is 1000.

Top 10 peaks for 10° ≤ 2θ ≤ 80°, in order of falling intensity:
2theta  d [Å]  I/Imax  (hkl)
33.65  2.663  1000  1 1 4
29.73  3.005  595  1 1 2
40.48  2.229  515  2 0 0
26.84  3.321  471  0 0 6
49.24  1.851  282  2 0 6
69.28  1.356  211  3 1 4
46.47  1.954  173  1 1 8
58.58  1.576  171  2 2 0
13.33  6.642  143  0 0 3
67.06  1.396  116  3 1 2

Structure:
a = 4.457 Å, b = 4.457 Å, c = 19.927 Å
α = 90.00°, β = 90.00°, γ = 90.00°
Space group P4/nmm (No. 129, origin choice 2)
Asymmetric unit:
Na: 0.250 0.250 0.124
La: 0.250 0.250 0.608
Cu: 0.250 0.750 0.000
Te: 0.250 0.250 0.439
Te: 0.250 0.250 0.922
Te: 0.250 0.750 0.264